Calculated XRD peak list
Compound: AlSiPN4
Radiation: Cu Kα (λ = 1.5418 Å)
Structure: a PBE-relaxed structure

Unit cell a=2.816 b=5.007 c=5.007 alpha=66.78 beta=90.00 gamma=90.00
Fractional positions:
Al (0.000, 0.000, 0.000)
Si (0.500, 0.663, 0.663)
P (0.500, 0.368, 0.368)
N (0.000, 0.256, 0.256)
N (0.000, 0.772, 0.772)
N (0.500, 0.279, 0.732)
N (0.500, 0.732, 0.279)

Most intense lines, 2θ from 10° to 90°, by angle:
| 2θ (°) | I/Imax |
| --- | --- |
| 32.50 | 63 |
| 36.12 | 65 |
| 37.44 | 100 |
| 39.16 | 16 |
| 51.28 | 15 |
| 54.69 | 20 |
| 60.35 | 19 |
| 61.26 | 15 |
| 65.07 | 54 |
| 66.38 | 15 |

Calculated XRD peak list
Compound: CeBe2CuH8
Radiation: Cu Kα (λ = 1.5418 Å)
Structure: a PBE-relaxed structure

Unit cell a=6.571 b=6.571 c=6.571 alpha=37.99 beta=37.99 gamma=37.99
Fractional positions:
Ce (0.000, 0.000, 0.000)
Be (0.240, 0.240, 0.240)
Be (0.760, 0.760, 0.760)
Cu (0.500, 0.500, 0.500)
H (0.102, 0.778, 0.438)
H (0.222, 0.562, 0.898)
H (0.322, 0.322, 0.322)
H (0.438, 0.102, 0.778)
H (0.562, 0.898, 0.222)
H (0.678, 0.678, 0.678)
H (0.778, 0.438, 0.102)
H (0.898, 0.222, 0.562)

Most intense lines, 2θ from 10° to 90°, by angle:
| 2θ (°) | I/Imax |
| --- | --- |
| 14.55 | 15 |
| 25.96 | 100 |
| 29.33 | 24 |
| 31.09 | 82 |
| 42.26 | 35 |
| 46.73 | 25 |
| 50.27 | 17 |
| 52.28 | 31 |
| 53.38 | 17 |
| 70.33 | 15 |